(1)
GdNi4Ge3: theoretical powder X-ray diffraction pattern (Cu Kα), based on a structure optimized by DFT (PBE).
Intensities are scaled so that the largest is 100.

Structure:
```
GdNi4Ge3
1.0
5.0790 0.0000 0.0000
0.0000 3.9889 0.0000
-0.8291 0.0000 5.9452
Gd Ni Ge
1 4 3
Direct
0.0000 0.0000 0.0000
0.1989 0.5000 0.7278
0.4921 0.0000 0.7919
0.6033 0.0000 0.3589
0.9227 0.5000 0.3418
0.1512 0.0000 0.4832
0.4787 0.5000 0.1113
0.6934 0.5000 0.6608
```

Peak list (10 most intense, 15° ≤ 2θ ≤ 90°, in order of falling intensity)
45.48 deg, intensity 100
43.80 deg, intensity 99
37.74 deg, intensity 98
40.02 deg, intensity 96
31.17 deg, intensity 73
43.47 deg, intensity 64
33.52 deg, intensity 56
47.01 deg, intensity 49
36.83 deg, intensity 44
32.81 deg, intensity 43

(2)
Ho4InFe2Sn4: theoretical powder X-ray diffraction pattern (Cu Kα), based on a structure optimized by DFT (PBE).
Intensities are scaled so that the largest is 100.

Structure:
```
Ho4InFe2Sn4
1.0
7.9266 -2.2793 0.0000
7.9266 2.2793 0.0000
-2.3072 0.0000 6.9953
Ho In Fe Sn
4 1 2 4
Direct
0.0947 0.0947 0.3997
0.1534 0.1534 0.9565
0.8466 0.8466 0.0435
0.9053 0.9053 0.6003
0.5000 0.5000 0.0000
0.2737 0.2737 0.3686
0.7263 0.7263 0.6314
0.2969 0.2969 0.7338
0.4270 0.4270 0.3272
0.5730 0.5730 0.6728
0.7031 0.7031 0.2662
```

Peak list (10 most intense, 15° ≤ 2θ ≤ 90°, in order of falling intensity)
32.77 deg, intensity 100
31.78 deg, intensity 73
39.54 deg, intensity 53
34.28 deg, intensity 52
38.59 deg, intensity 31
33.97 deg, intensity 29
35.74 deg, intensity 24
67.45 deg, intensity 23
56.44 deg, intensity 21
34.64 deg, intensity 20

(3)
Dy2Y3Er2Ni2Te2: theoretical powder X-ray diffraction pattern (Cu Kα), based on a structure optimized by DFT (PBE).
Intensities are scaled so that the largest is 100.

Structure:
```
Dy2Y3Er2Ni2Te2
1.0
-1.9275 7.8183 4.7746
1.9275 -7.8183 4.7746
1.9275 7.8183 -4.7746
Dy Y Er Ni Te
2 3 2 2 2
Direct
0.1473 0.0000 0.1473
0.8527 0.0000 0.8527
0.2308 0.7308 0.5000
0.5166 0.1480 0.3686
0.7794 0.1480 0.6314
0.1643 0.3494 0.8149
0.5346 0.3494 0.1851
0.3961 0.6588 0.7373
0.9216 0.6588 0.2627
0.4939 0.4939 0.0000
0.8948 0.3948 0.5000
```

Peak list (10 most intense, 15° ≤ 2θ ≤ 90°, in order of falling intensity)
33.98 deg, intensity 100
32.97 deg, intensity 91
34.47 deg, intensity 83
30.34 deg, intensity 43
28.80 deg, intensity 41
58.73 deg, intensity 35
36.61 deg, intensity 34
38.44 deg, intensity 33
47.15 deg, intensity 32
50.96 deg, intensity 29

(4)
Lu4InFe2Ge4: theoretical powder X-ray diffraction pattern (Cu Kα), based on a structure optimized by DFT (PBE).
Intensities are scaled so that the largest is 100.

Structure:
```
Lu4InFe2Ge4
1.0
7.6177 -2.0819 0.0000
7.6177 2.0819 0.0000
-2.0518 0.0000 6.5608
Lu In Fe Ge
4 1 2 4
Direct
0.0920 0.0920 0.3922
0.1539 0.1539 0.9391
0.8461 0.8461 0.0609
0.9080 0.9080 0.6078
0.5000 0.5000 0.0000
0.2791 0.2791 0.3698
0.7209 0.7209 0.6302
0.2948 0.2948 0.7313
0.4315 0.4315 0.3397
0.5685 0.5685 0.6603
0.7052 0.7052 0.2687
```

Peak list (10 most intense, 15° ≤ 2θ ≤ 90°, in order of falling intensity)
35.42 deg, intensity 100
33.82 deg, intensity 68
36.82 deg, intensity 64
43.48 deg, intensity 53
37.73 deg, intensity 24
41.31 deg, intensity 24
28.26 deg, intensity 23
61.52 deg, intensity 18
33.14 deg, intensity 16
39.07 deg, intensity 15

(5)
Nb4TlHO5: theoretical powder X-ray diffraction pattern (Cu Kα), based on a structure optimized by DFT (PBE).
Intensities are scaled so that the largest is 100.

Structure:
```
Nb4TlHO5
1.0
4.2043 0.0000 0.0000
0.0000 4.2043 0.0000
0.0000 0.0000 8.1275
Nb Tl H O
4 1 1 5
Direct
0.0000 0.0000 0.2483
0.0000 0.0000 0.7517
0.0000 0.5000 0.5000
0.5000 0.0000 0.5000
0.5000 0.5000 0.0000
0.0000 0.0000 0.0000
0.0000 0.5000 0.2420
0.0000 0.5000 0.7580
0.5000 0.0000 0.2420
0.5000 0.0000 0.7580
0.5000 0.5000 0.5000
```

Peak list (10 most intense, 15° ≤ 2θ ≤ 90°, in order of falling intensity)
30.60 deg, intensity 100
32.06 deg, intensity 75
43.03 deg, intensity 52
53.72 deg, intensity 40
23.83 deg, intensity 35
63.70 deg, intensity 30
45.29 deg, intensity 30
44.59 deg, intensity 23
62.48 deg, intensity 16
79.97 deg, intensity 15

(6)
Sc4ZnGaN2: theoretical powder X-ray diffraction pattern (Cu Kα), based on a structure optimized by DFT (PBE).
Intensities are scaled so that the largest is 100.

Structure:
```
Sc4ZnGaN2
1.0
3.2077 0.0000 0.0000
-1.6039 2.7780 0.0000
0.0000 0.0000 14.1513
Sc Zn Ga N
4 1 1 2
Direct
0.0000 0.0000 0.1621
0.0000 0.0000 0.8379
0.6667 0.3333 0.3369
0.6667 0.3333 0.6631
0.6667 0.3333 0.0000
0.0000 0.0000 0.5000
0.3333 0.6667 0.2510
0.3333 0.6667 0.7490
```

Peak list (10 most intense, 15° ≤ 2θ ≤ 90°, in order of falling intensity)
37.57 deg, intensity 100
57.46 deg, intensity 20
32.22 deg, intensity 18
38.16 deg, intensity 18
50.78 deg, intensity 17
71.08 deg, intensity 15
68.58 deg, intensity 15
70.70 deg, intensity 14
34.69 deg, intensity 6
80.20 deg, intensity 4

(7)
TbHoCo2Si2C: theoretical powder X-ray diffraction pattern (Cu Kα), based on a structure optimized by DFT (PBE).
Intensities are scaled so that the largest is 100.

Structure:
```
TbHoCo2Si2C
1.0
5.2792 -1.9361 0.0000
5.2792 1.9361 0.0000
-4.3234 0.0000 5.2331
Tb Ho Co Si C
1 1 2 2 1
Direct
0.0000 0.0000 0.0000
0.8731 0.8731 0.4066
0.2372 0.2372 0.6149
0.6355 0.6355 0.7912
0.2806 0.2806 0.0001
0.5923 0.5923 0.4065
0.4363 0.4363 0.7026
```

Peak list (10 most intense, 15° ≤ 2θ ≤ 90°, in order of falling intensity)
36.85 deg, intensity 100
34.66 deg, intensity 76
25.47 deg, intensity 57
34.53 deg, intensity 46
46.93 deg, intensity 32
35.54 deg, intensity 32
26.26 deg, intensity 32
35.73 deg, intensity 31
40.60 deg, intensity 26
41.51 deg, intensity 25

Question: What is the formula in the second record?
Answer: Ho4InFe2Sn4

Question: Which formula does entry 4 have?
Answer: Lu4InFe2Ge4